# 1
The following is a theoretical PXRD pattern of VO2. It was derived from a structure optimized by DFT (GGA+U), using Cu Kα (weighted mean of Kα1 and Kα2).

Structure:
```
VO2
1.0
5.0153 0.0000 0.0000
-1.8557 4.6665 0.0000
-0.1919 -0.4896 9.1347
V O
6 12
direct
0.0000 0.0000 0.0000 V
0.0542 0.4283 0.2381 V
0.1233 0.8638 0.4981 V
0.4783 0.4818 0.4776 V
0.5564 0.9212 0.7384 V
0.6271 0.3609 0.9761 V
0.1570 0.1916 0.3789 O
0.2605 0.6192 0.6183 O
0.2931 0.3207 0.0964 O
0.3314 0.0224 0.8763 O
0.3386 0.7281 0.3488 O
0.4495 0.1535 0.5953 O
0.6476 0.6688 0.8784 O
0.7560 0.1421 0.1274 O
0.7988 0.5200 0.3802 O
0.8063 0.8397 0.6006 O
0.8703 0.2136 0.8578 O
0.9647 0.6799 0.0952 O
```

Main lines, by angle (5 to 70 degrees two-theta):
2θ 19.43, d 4.567, intensity 32
2θ 20.93, d 4.244, intensity 96
2θ 21.07, d 4.216, intensity 100
2θ 28.88, d 3.092, intensity 56
2θ 29.25, d 3.053, intensity 53
2θ 38.51, d 2.338, intensity 62
2θ 38.66, d 2.329, intensity 14
2θ 46.32, d 1.960, intensity 45
2θ 46.90, d 1.937, intensity 44
2θ 51.47, d 1.775, intensity 25


# 2
The following is a theoretical PXRD pattern of V3O7. It was derived from a structure optimized by DFT (GGA+U), using Cu Kα (weighted mean of Kα1 and Kα2).

Structure:
```
V3O7
1.0
10.7681 0.0000 0.0000
-5.3841 9.3255 0.0000
0.0000 0.0000 9.5535
V O
18 42
direct
0.1148 0.3120 0.1053 V
0.1148 0.8029 0.3947 V
0.1590 0.3181 0.7500 V
0.1590 0.8410 0.7500 V
0.1971 0.3120 0.3947 V
0.1971 0.8852 0.1053 V
0.3120 0.1148 0.6053 V
0.3120 0.1971 0.8947 V
0.3181 0.1590 0.2500 V
0.6819 0.8410 0.7500 V
0.6880 0.8029 0.1053 V
0.6880 0.8852 0.3947 V
0.8029 0.1148 0.8947 V
0.8029 0.6880 0.6053 V
0.8410 0.1590 0.2500 V
0.8410 0.6819 0.2500 V
0.8852 0.1971 0.6053 V
0.8852 0.6880 0.8947 V
0.0329 0.2905 0.2950 O
0.0329 0.7424 0.2050 O
0.0780 0.2540 0.5640 O
0.0780 0.8240 0.9360 O
0.1568 0.4713 0.0647 O
0.1568 0.6855 0.4353 O
0.1760 0.2540 0.9360 O
0.1760 0.9220 0.5640 O
0.2440 0.4879 0.7500 O
0.2440 0.7560 0.7500 O
0.2540 0.0780 0.0640 O
0.2540 0.1760 0.4360 O
0.2576 0.2905 0.2050 O
0.2576 0.9671 0.2950 O
0.2905 0.0329 0.7950 O
0.2905 0.2576 0.7050 O
0.3145 0.4713 0.4353 O
0.3145 0.8432 0.0647 O
0.4713 0.1568 0.5647 O
0.4713 0.3145 0.9353 O
0.4879 0.2440 0.2500 O
0.5121 0.7560 0.7500 O
0.5287 0.6855 0.0647 O
0.5287 0.8432 0.4353 O
0.6855 0.1568 0.9353 O
0.6855 0.5287 0.5647 O
0.7095 0.7424 0.2950 O
0.7095 0.9671 0.2050 O
0.7424 0.0329 0.7050 O
0.7424 0.7095 0.7950 O
0.7460 0.8240 0.5640 O
0.7460 0.9220 0.9360 O
0.7560 0.2440 0.2500 O
0.7560 0.5121 0.2500 O
0.8240 0.0780 0.4360 O
0.8240 0.7460 0.0640 O
0.8432 0.3145 0.5647 O
0.8432 0.5287 0.9353 O
0.9220 0.1760 0.0640 O
0.9220 0.7460 0.4360 O
0.9671 0.2576 0.7950 O
0.9671 0.7095 0.7050 O
```

Main lines, by angle (5 to 70 degrees two-theta):
2θ 9.48, d 9.325, intensity 87
2θ 16.46, d 5.384, intensity 61
2θ 19.03, d 4.663, intensity 100
2θ 24.92, d 3.573, intensity 14
2θ 26.96, d 3.307, intensity 15
2θ 29.64, d 3.014, intensity 19
2θ 33.28, d 2.692, intensity 20
2θ 34.09, d 2.630, intensity 40
2θ 48.39, d 1.881, intensity 10
2θ 48.63, d 1.872, intensity 11


# 3
The following is a theoretical PXRD pattern of VO2. It was derived from a structure optimized by DFT (GGA+U), using Cu Kα (weighted mean of Kα1 and Kα2).

Structure:
```
VO2
1.0
4.5693 -2.9627 0.0000
4.5693 2.9627 0.0000
-0.0820 0.0000 4.6178
V O
4 8
direct
0.2314 0.7686 0.0000 V
0.2653 0.2653 0.4755 V
0.7347 0.7347 0.5245 V
0.7686 0.2314 0.0000 V
0.0993 0.6014 0.6958 O
0.1027 0.1027 0.8002 O
0.3986 0.9007 0.3042 O
0.4016 0.4016 0.1915 O
0.5984 0.5984 0.8085 O
0.6014 0.0993 0.6958 O
0.8973 0.8973 0.1998 O
0.9007 0.3986 0.3042 O
```

Main lines, by angle (5 to 70 degrees two-theta):
2θ 27.21, d 3.277, intensity 99
2θ 27.71, d 3.219, intensity 100
2θ 36.02, d 2.494, intensity 48
2θ 36.13, d 2.486, intensity 50
2θ 41.07, d 2.198, intensity 20
2θ 53.94, d 1.700, intensity 27
2θ 54.19, d 1.692, intensity 27
2θ 54.50, d 1.684, intensity 28
2θ 54.76, d 1.676, intensity 29
2θ 68.72, d 1.366, intensity 20


# 4
The following is a theoretical PXRD pattern of VO. It was derived from a structure optimized by DFT (GGA+U), using Cu Kα (weighted mean of Kα1 and Kα2).

Structure:
```
VO
1.0
3.1319 0.0000 0.0000
0.0000 3.1293 0.0000
-0.0227 0.0000 4.3929
V O
2 2
direct
0.2486 0.2500 0.2366 V
0.7514 0.7500 0.7634 V
0.2517 0.2500 0.7371 O
0.7483 0.7500 0.2629 O
```

Main lines, by angle (5 to 70 degrees two-theta):
2θ 35.10, d 2.556, intensity 20
2θ 35.24, d 2.547, intensity 59
2θ 40.76, d 2.214, intensity 100
2θ 41.09, d 2.196, intensity 47
2θ 50.64, d 1.803, intensity 1
2θ 50.78, d 1.798, intensity 1
2θ 50.90, d 1.794, intensity 1
2θ 59.01, d 1.565, intensity 28
2θ 59.15, d 1.562, intensity 28
2θ 59.39, d 1.556, intensity 27


# 5
The following is a theoretical PXRD pattern of VO. It was derived from a structure optimized by DFT (GGA+U), using Cu Kα (weighted mean of Kα1 and Kα2).

Structure:
```
VO
1.0
3.1016 0.0000 0.0000
0.0000 3.1289 0.0000
-3.0832 0.0000 4.4087
V O
2 2
direct
0.0000 0.2479 0.2500 V
0.0000 0.7521 0.7500 V
0.5000 0.2527 0.7500 O
0.5000 0.7473 0.2500 O
```

Main lines, by angle (5 to 70 degrees two-theta):
2θ 35.17, d 2.552, intensity 27
2θ 35.31, d 2.542, intensity 13
2θ 35.46, d 2.532, intensity 13
2θ 40.96, d 2.203, intensity 100
2θ 59.05, d 1.564, intensity 10
2θ 59.21, d 1.560, intensity 19
2θ 59.41, d 1.556, intensity 19
2θ 59.62, d 1.551, intensity 9